Entry 1:
# La2CdSe2O2
Simulated powder X-ray diffraction pattern, a wavelength of 1.5418 Å. Input: a PBE-relaxed structure.
Kinematic intensities with the Lorentz-polarization factor, no thermal factor.

Most intense lines, 15° ≤ 2θ ≤ 90°, in order of rising 2θ:
2θ/deg, I (rel.), h k l
22.35, 17, 1 0 1
26.15, 11, 1 0 3
29.09, 100, 1 0 4
31.07, 23, 1 1 0
32.54, 28, 1 1 2
36.30, 19, 1 0 6
36.66, 29, 1 1 4
44.51, 35, 2 0 0
50.29, 29, 1 1 8
54.05, 38, 2 1 4
64.77, 11, 2 2 0
86.26, 11, 3 1 8

```
data_La2CdSe2O2
_chemical_formula_sum 'La4 Cd2 Se4 O4'
_symmetry_space_group_name_H-M 'P 42/n m c'
_symmetry_Int_Tables_number 137
_cell_length_a 4.0709
_cell_length_b 4.0709
_cell_length_c 18.6985
_cell_angle_alpha 90.00
_cell_angle_beta 90.00
_cell_angle_gamma 90.00
loop_
_symmetry_equiv_pos_as_xyz
'x,y,z'
'-x,-y,-z'
'-y+1/2,x,z+1/2'
'y+1/2,-x,-z+1/2'
'-x+1/2,-y+1/2,z'
'x+1/2,y+1/2,-z'
'y,-x+1/2,z+1/2'
'-y,x+1/2,-z+1/2'
'x+1/2,-y,-z'
'-x+1/2,y,z'
'-y,-x,-z+1/2'
'y,x,z+1/2'
'-x,y+1/2,-z'
'x,-y+1/2,z'
'y+1/2,x+1/2,-z+1/2'
'-y+1/2,-x+1/2,z+1/2'
loop_
_atom_site_label
_atom_site_fract_x
_atom_site_fract_y
_atom_site_fract_z
_atom_site_occupancy
La1 0.2500 0.2500 0.0657 1
Cd1 0.2500 0.7500 0.2500 1
Se1 0.2500 0.2500 0.3434 1
O1 0.2500 0.7500 0.0013 1
```

Entry 2:
# LaCd3Sn4O12
Simulated powder X-ray diffraction pattern, a wavelength of 1.5418 Å. Input: a PBE-relaxed structure.
Kinematic intensities with the Lorentz-polarization factor, no thermal factor.

Most intense lines, 15° ≤ 2θ ≤ 90°, in order of rising 2θ:
2θ/deg, I (rel.), h k l
31.54, 100, 2 2 0
35.38, 1, 3 1 0
38.88, 1, 2 2 2
42.14, 1, 3 2 1
45.21, 26, 4 0 0
56.16, 46, 4 2 2
65.85, 15, 4 4 0
74.85, 18, 6 0 2
83.47, 5, 4 4 4

```
data_LaCd3Sn4O12
_chemical_formula_sum 'La2 Cd6 Sn8 O24'
_symmetry_space_group_name_H-M 'I m -3'
_symmetry_Int_Tables_number 204
_symmetry_space_group_name_Hall '-I 2 2 3'
_cell_length_a 8.0234
_cell_length_b 8.0234
_cell_length_c 8.0234
_cell_angle_alpha 90.00
_cell_angle_beta 90.00
_cell_angle_gamma 90.00
loop_
_atom_site_label
_atom_site_fract_x
_atom_site_fract_y
_atom_site_fract_z
_atom_site_occupancy
La1 0.0000 0.0000 0.0000 1
Cd1 0.0000 0.0000 0.5000 1
Sn1 0.2500 0.2500 0.2500 1
O1 0.0000 0.1853 0.2887 1
```

Entry 3:
# LaPrCd6
Simulated powder X-ray diffraction pattern, a wavelength of 1.5418 Å. Input: a PBE-relaxed structure.
Kinematic intensities with the Lorentz-polarization factor, no thermal factor.

Most intense lines, 15° ≤ 2θ ≤ 90°, in order of rising 2θ:
2θ/deg, I (rel.), h k l
20.88, 1, 1 1 0
34.42, 100, 2 0 0
49.41, 12, 2 0 2
49.59, 6, 0 4 0
61.62, 23, 3 2 1
61.73, 12, 2 4 0
72.46, 4, 4 0 0
72.61, 7, 2 4 2
82.74, 10, 4 0 2
83.04, 5, 1 6 1

```
data_LaPrCd6
_chemical_formula_sum 'La1 Pr1 Cd6'
_symmetry_space_group_name_H-M 'P m m 2'
_symmetry_Int_Tables_number 25
_cell_length_a 5.2167
_cell_length_b 7.3529
_cell_length_c 5.2177
_cell_angle_alpha 90.00
_cell_angle_beta 90.00
_cell_angle_gamma 90.00
loop_
_symmetry_equiv_pos_as_xyz
'x,y,z'
'-x,-y,z'
'-x,y,z'
'x,-y,z'
loop_
_atom_site_label
_atom_site_fract_x
_atom_site_fract_y
_atom_site_fract_z
_atom_site_occupancy
La1 0.0000 0.0000 0.0000 1
Pr1 0.5000 0.5000 0.5086 1
Cd1 0.0000 0.2510 0.4994 1
Cd2 0.0000 0.5000 0.0006 1
Cd3 0.5000 0.0000 0.5078 1
Cd4 0.5000 0.2510 0.0092 1
```

Entry 4:
# LaPrCd6
Simulated powder X-ray diffraction pattern, a wavelength of 1.5418 Å. Input: a PBE-relaxed structure.
Kinematic intensities with the Lorentz-polarization factor, no thermal factor.

Most intense lines, 15° ≤ 2θ ≤ 90°, in order of rising 2θ:
2θ/deg, I (rel.), h k l
30.25, 25, 2 0 0
35.20, 100, 2 0 1
35.59, 22, 0 0 2
47.39, 14, 2 0 2
53.74, 19, 2 2 0
62.92, 3, 4 0 0
63.66, 17, 2 0 3
65.88, 14, 4 0 1
66.13, 19, 2 2 2
74.42, 3, 4 0 2
87.99, 7, 4 0 3
90.00, 12, 4 2 1

```
data_LaPrCd6
_chemical_formula_sum 'La1 Pr1 Cd6'
_symmetry_space_group_name_H-M 'P -6 m 2'
_symmetry_Int_Tables_number 187
_symmetry_space_group_name_Hall 'P -6 2'
_cell_length_a 6.8229
_cell_length_b 6.8229
_cell_length_c 5.0457
_cell_angle_alpha 90.00
_cell_angle_beta 90.00
_cell_angle_gamma 120.00
loop_
_atom_site_label
_atom_site_fract_x
_atom_site_fract_y
_atom_site_fract_z
_atom_site_occupancy
La1 0.0000 0.0000 0.0000 1
Pr1 0.3333 0.6667 0.5000 1
Cd1 0.3518 0.1759 0.5000 1
Cd2 0.5078 0.0156 0.0000 1
```